# 1
TbB2Rh6: theoretical XRD peak list (Cu Ka), based on a structure optimized by DFT (PBE).
Neutral-atom scattering factors, no anomalous dispersion.

Principal peaks in the range 2θ = 10–80°, low angle first:
d_spacing	Position (°2θ)	Rel. int.
3.172	28.13	31.9
2.630	34.09	100.0
2.413	37.26	50.9
2.024	44.77	28.8
1.860	48.98	57.1
1.518	61.03	12.2
1.473	63.12	11.2
1.370	68.52	24.9
1.285	73.72	18.9
1.240	76.90	12.1

Atomic structure:
Cell lengths 7.4384, 7.4384, 7.4384 Å; angles 60.00, 60.00, 60.00 degrees
Element x y z (fractional)
1 Tb 0.1250 0.1250 0.1250
2 Tb 0.8750 0.8750 0.8750
3 B 0.0000 0.5000 0.5000
4 B 0.5000 0.0000 0.5000
5 B 0.5000 0.5000 0.0000
6 B 0.5000 0.5000 0.5000
7 Rh 0.1654 0.1654 0.5846
8 Rh 0.1654 0.5846 0.1654
9 Rh 0.1654 0.5846 0.5846
10 Rh 0.4154 0.4154 0.8346
11 Rh 0.4154 0.8346 0.4154
12 Rh 0.4154 0.8346 0.8346
13 Rh 0.5846 0.1654 0.1654
14 Rh 0.5846 0.1654 0.5846
15 Rh 0.5846 0.5846 0.1654
16 Rh 0.8346 0.4154 0.4154
17 Rh 0.8346 0.4154 0.8346
18 Rh 0.8346 0.8346 0.4154

***

# 2
Rb2YC2O6: theoretical XRD peak list (Cu Ka), based on a structure optimized by DFT (PBE).
Neutral-atom scattering factors, no anomalous dispersion.

Principal peaks in the range 2θ = 10–80°, low angle first:
d_spacing	Position (°2θ)	Rel. int.
8.322	10.63	41.3
4.148	21.42	81.1
3.139	28.43	100.0
2.762	32.42	47.1
2.299	39.19	34.5
2.074	43.65	18.4
1.957	46.39	29.5
1.767	51.74	25.6
1.658	55.41	19.4
1.382	67.82	18.6

Atomic structure:
Cell lengths 5.5239, 5.5239, 8.3218 Å; angles 90.00, 90.00, 120.00 degrees
Element x y z (fractional)
1 Rb 0.3333 0.6667 0.3077
2 Rb 0.6667 0.3333 0.6923
3 Y 0.0000 0.0000 0.0000
4 C 0.3333 0.6667 0.8549
5 C 0.6667 0.3333 0.1451
6 O 0.1976 0.3952 0.8510
7 O 0.1976 0.8024 0.8510
8 O 0.3952 0.1976 0.1490
9 O 0.6048 0.8024 0.8510
10 O 0.8024 0.1976 0.1490
11 O 0.8024 0.6048 0.1490

***

# 3
LiAc2N: theoretical XRD peak list (Cu Ka), based on a structure optimized by DFT (PBE).
Neutral-atom scattering factors, no anomalous dispersion.

Principal peaks in the range 2θ = 10–80°, low angle first:
d_spacing	Position (°2θ)	Rel. int.
7.125	12.42	30.1
4.201	21.15	54.2
3.562	25.00	13.2
3.226	27.65	100.0
3.135	28.47	23.4
3.082	28.97	18.3
2.198	41.07	16.7
1.847	49.34	12.6
1.827	49.91	20.5
1.806	50.54	13.0

Atomic structure:
Cell lengths 6.1646, 6.2704, 7.7589 Å; angles 90.00, 113.33, 90.00 degrees
Element x y z (fractional)
1 Li 0.0000 0.0000 0.0000
2 Li 0.5000 0.5000 0.0000
3 Ac 0.1231 0.5000 0.3160
4 Ac 0.3066 0.0000 0.6834
5 Ac 0.6934 0.0000 0.3166
6 Ac 0.8769 0.5000 0.6840
7 N 0.0000 0.2500 0.5000
8 N 0.0000 0.7500 0.5000

***

# 4
Mg2Cu2SbPd5: theoretical XRD peak list (Cu Ka), based on a structure optimized by DFT (PBE).
Neutral-atom scattering factors, no anomalous dispersion.

Principal peaks in the range 2θ = 10–80°, low angle first:
d_spacing	Position (°2θ)	Rel. int.
4.136	21.48	31.6
2.494	36.02	13.6
2.330	38.64	100.0
2.243	40.20	21.0
2.136	42.32	38.0
2.068	43.77	19.9
1.939	46.86	16.2
1.927	47.16	23.0
1.462	63.64	18.9
1.239	76.98	15.2

Atomic structure:
Cell lengths 9.2489, 9.2489, 3.8545 Å; angles 90.00, 90.00, 90.00 degrees
Element x y z (fractional)
1 Mg 0.1686 0.3314 0.0000
2 Mg 0.3314 0.8314 0.0000
3 Mg 0.6686 0.1686 0.0000
4 Mg 0.8314 0.6686 0.0000
5 Cu 0.1265 0.6265 0.0000
6 Cu 0.3735 0.1265 0.0000
7 Cu 0.6265 0.8735 0.0000
8 Cu 0.8735 0.3735 0.0000
9 Sb 0.0000 0.0000 0.0000
10 Sb 0.5000 0.5000 0.0000
11 Pd 0.0000 0.5000 0.5000
12 Pd 0.0786 0.7985 0.5000
13 Pd 0.2015 0.0786 0.5000
14 Pd 0.2985 0.5786 0.5000
15 Pd 0.4214 0.2985 0.5000
16 Pd 0.5000 0.0000 0.5000
17 Pd 0.5786 0.7015 0.5000
18 Pd 0.7015 0.4214 0.5000
19 Pd 0.7985 0.9214 0.5000
20 Pd 0.9214 0.2015 0.5000

***

# 5
BiSb2HI: theoretical XRD peak list (Cu Ka), based on a structure optimized by DFT (PBE).
Neutral-atom scattering factors, no anomalous dispersion.

Principal peaks in the range 2θ = 10–80°, low angle first:
d_spacing	Position (°2θ)	Rel. int.
3.039	29.39	29.6
2.864	31.23	100.0
2.296	39.24	27.3
1.832	49.77	27.4
1.719	53.30	22.2
1.624	56.69	9.3
1.519	60.99	4.1
1.432	65.14	12.2
1.412	66.16	23.2
1.267	74.96	8.4

Atomic structure:
Cell lengths 4.5923, 4.5923, 6.0770 Å; angles 90.00, 90.00, 90.00 degrees
Element x y z (fractional)
1 Bi 0.0000 0.0000 0.0000
2 Sb 0.0000 0.5000 0.5000
3 Sb 0.5000 0.0000 0.5000
4 H 0.5000 0.5000 0.5000
5 I 0.5000 0.5000 0.0000

***

# 6
MgGa6Cl12: theoretical XRD peak list (Cu Ka), based on a structure optimized by DFT (PBE).
Neutral-atom scattering factors, no anomalous dispersion.

Principal peaks in the range 2θ = 10–80°, low angle first:
d_spacing	Position (°2θ)	Rel. int.
7.659	11.55	100.0
7.312	12.10	14.5
4.520	19.64	8.1
3.934	22.60	8.1
3.747	23.75	14.8
3.607	24.68	10.4
3.320	26.86	11.1
2.989	29.90	7.7
2.954	30.26	14.4
2.654	33.78	10.2

Atomic structure:
Cell lengths 8.6944, 8.7706, 9.3884 Å; angles 105.42, 96.14, 114.57 degrees
Element x y z (fractional)
1 Mg 0.0000 0.0000 0.0000
2 Ga 0.0094 0.6192 0.2258
3 Ga 0.0090 0.8065 0.4785
4 Ga 0.1478 0.7021 0.8106
5 Ga 0.8522 0.2979 0.1894
6 Ga 0.9910 0.1935 0.5215
7 Ga 0.9906 0.3808 0.7742
8 Cl 0.0934 0.2413 0.2958
9 Cl 0.1249 0.2806 0.9317
10 Cl 0.2204 0.1032 0.5746
11 Cl 0.2734 0.9822 0.9951
12 Cl 0.2818 0.7168 0.2158
13 Cl 0.2886 0.7452 0.6281
14 Cl 0.7114 0.2548 0.3719
15 Cl 0.7182 0.2832 0.7842
16 Cl 0.7266 0.0178 0.0049
17 Cl 0.7796 0.8968 0.4254
18 Cl 0.8751 0.7194 0.0683
19 Cl 0.9066 0.7587 0.7042

***

# 7
Pm4DyTe4: theoretical XRD peak list (Cu Ka), based on a structure optimized by DFT (PBE).
Neutral-atom scattering factors, no anomalous dispersion.

Principal peaks in the range 2θ = 10–80°, low angle first:
d_spacing	Position (°2θ)	Rel. int.
3.786	23.50	95.1
3.140	28.42	55.7
2.802	31.94	100.0
2.462	36.49	54.3
2.252	40.03	41.6
2.155	41.92	39.5
2.092	43.26	22.7
1.981	45.80	34.8
1.676	54.78	18.9
1.458	63.82	20.5

Atomic structure:
Cell lengths 7.6012, 7.6012, 7.6012 Å; angles 117.16, 117.16, 95.00 degrees
Element x y z (fractional)
1 Pm 0.0000 0.5000 0.5000
2 Pm 0.1708 0.1708 0.0000
3 Pm 0.5000 0.0000 0.5000
4 Pm 0.8292 0.8292 0.0000
5 Dy 0.5000 0.5000 0.0000
6 Te 0.1316 0.1316 0.5418
7 Te 0.4102 0.8684 0.0000
8 Te 0.5898 0.5898 0.4582
9 Te 0.8684 0.4102 0.0000

***

# 8
CaTl6Hg23: theoretical XRD peak list (Cu Ka), based on a structure optimized by DFT (PBE).
Neutral-atom scattering factors, no anomalous dispersion.

Principal peaks in the range 2θ = 10–80°, low angle first:
d_spacing	Position (°2θ)	Rel. int.
3.058	29.21	8.6
2.883	31.02	35.4
2.648	33.85	100.0
2.497	35.97	6.5
1.950	46.57	8.2
1.873	48.62	10.8
1.730	52.93	7.9
1.570	58.80	12.6
1.529	60.56	20.4
1.448	64.33	10.4

Atomic structure:
Cell lengths 10.5925, 10.5925, 10.5925 Å; angles 60.00, 60.00, 60.00 degrees
Element x y z (fractional)
1 Ca 0.0000 0.0000 0.0000
2 Tl 0.2834 0.2834 0.7166
3 Tl 0.2834 0.7166 0.2834
4 Tl 0.2834 0.7166 0.7166
5 Tl 0.7166 0.2834 0.2834
6 Tl 0.7166 0.2834 0.7166
7 Tl 0.7166 0.7166 0.2834
8 Hg 0.0000 0.0000 0.5000
9 Hg 0.0000 0.5000 0.0000
10 Hg 0.0000 0.5000 0.5000
11 Hg 0.0241 0.6586 0.6586
12 Hg 0.1207 0.1207 0.1207
13 Hg 0.1207 0.1207 0.6380
14 Hg 0.1207 0.6380 0.1207
15 Hg 0.3414 0.3414 0.3414
16 Hg 0.3414 0.3414 0.9759
17 Hg 0.3414 0.9759 0.3414
18 Hg 0.3620 0.8793 0.8793
19 Hg 0.5000 0.0000 0.0000
20 Hg 0.5000 0.0000 0.5000
21 Hg 0.5000 0.5000 0.0000
22 Hg 0.5000 0.5000 0.5000
23 Hg 0.6380 0.1207 0.1207
24 Hg 0.6586 0.0241 0.6586
25 Hg 0.6586 0.6586 0.0241
26 Hg 0.6586 0.6586 0.6586
27 Hg 0.8793 0.3620 0.8793
28 Hg 0.8793 0.8793 0.3620
29 Hg 0.8793 0.8793 0.8793
30 Hg 0.9759 0.3414 0.3414